1.
The following is a theoretical powder diffractogram of HoAl3Pt2. It was derived from a structure optimized by DFT (PBE), using Cu Kα.

Principal peaks in the range 2θ from 10° to 90°, low angle first:
24.47°, I = 32; 26.88°, I = 37; 27.04°, I = 44; 27.99°, I = 55; 30.18°, I = 84; 34.13°, I = 36; 34.68°, I = 100; 36.34°, I = 54; 43.73°, I = 54; 52.13°, I = 27

Cell and atoms:
a = 8.544 Å, b = 8.544 Å, c = 9.997 Å
α = 107.49°, β = 107.49°, γ = 28.04°
Fractional positions:
Ho1 0.000 0.000 0.000
Ho2 0.157 0.157 0.705
Ho3 0.843 0.843 0.295
Al1 0.041 0.041 0.353
Al2 0.214 0.214 0.391
Al3 0.325 0.325 0.036
Al4 0.373 0.373 0.800
Al5 0.500 0.500 0.500
Al6 0.627 0.627 0.200
Al7 0.675 0.675 0.964
Al8 0.786 0.786 0.609
Al9 0.959 0.959 0.647
Pt1 0.197 0.197 0.130
Pt2 0.361 0.361 0.545
Pt3 0.472 0.472 0.217
Pt4 0.528 0.528 0.783
Pt5 0.639 0.639 0.455
Pt6 0.803 0.803 0.870

=====

2.
The following is a theoretical powder diffractogram of Fe3CoIr. It was derived from a structure optimized by DFT (PBE), using Cu Kα.

Principal peaks in the range 2θ from 10° to 90°, low angle first:
14.31°, I = 10; 18.47°, I = 16; 26.07°, I = 11; 30.47°, I = 12; 43.71°, I = 100; 44.18°, I = 24; 44.39°, I = 23; 64.42°, I = 16; 79.80°, I = 9; 80.96°, I = 15

Cell and atoms:
a = 4.893 Å, b = 4.100 Å, c = 6.302 Å
α = 90.00°, β = 100.94°, γ = 90.00°
Fractional positions:
Fe1 0.046 0.250 0.353
Fe2 0.136 0.750 0.050
Fe3 0.243 0.250 0.739
Fe4 0.757 0.750 0.261
Fe5 0.864 0.250 0.950
Fe6 0.954 0.750 0.647
Co1 0.343 0.750 0.441
Co2 0.657 0.250 0.559
Ir1 0.451 0.250 0.151
Ir2 0.549 0.750 0.849

=====

3.
The following is a theoretical powder diffractogram of KTl9Hg3. It was derived from a structure optimized by DFT (PBE), using Cu Kα.

Principal peaks in the range 2θ from 10° to 90°, low angle first:
16.29°, I = 34; 31.16°, I = 86; 31.77°, I = 67; 32.86°, I = 51; 32.98°, I = 49; 34.75°, I = 54; 35.16°, I = 72; 35.37°, I = 43; 36.34°, I = 34; 36.62°, I = 100

Cell and atoms:
a = 8.635 Å, b = 8.635 Å, c = 8.721 Å
α = 97.16°, β = 97.16°, γ = 138.07°
Fractional positions:
K1 0.000 0.000 0.000
Tl1 0.000 0.000 0.500
Tl2 0.005 0.643 0.644
Tl3 0.296 0.509 0.792
Tl4 0.357 0.995 0.356
Tl5 0.491 0.704 0.208
Tl6 0.509 0.296 0.792
Tl7 0.643 0.005 0.644
Tl8 0.704 0.491 0.208
Tl9 0.995 0.357 0.356
Hg1 0.000 0.500 0.000
Hg2 0.500 0.000 0.000
Hg3 0.500 0.500 0.500

=====

4.
The following is a theoretical powder diffractogram of Ce4Sn25Pt12. It was derived from a structure optimized by DFT (PBE), using Cu Kα.

Principal peaks in the range 2θ from 10° to 90°, low angle first:
22.58°, I = 49; 30.45°, I = 76; 32.14°, I = 98; 35.30°, I = 82; 36.80°, I = 38; 42.31°, I = 100; 44.86°, I = 62; 49.64°, I = 45; 62.38°, I = 33; 75.58°, I = 37

Cell and atoms:
a = 10.786 Å, b = 10.786 Å, c = 10.786 Å
α = 109.47°, β = 109.47°, γ = 109.47°
Fractional positions:
Ce1 0.000 0.000 0.500
Ce2 0.000 0.500 0.000
Ce3 0.500 0.000 0.000
Ce4 0.500 0.500 0.500
Sn1 0.000 0.000 0.000
Sn2 0.007 0.380 0.627
Sn3 0.123 0.249 0.372
Sn4 0.123 0.751 0.874
Sn5 0.126 0.877 0.249
Sn6 0.246 0.620 0.627
Sn7 0.249 0.126 0.877
Sn8 0.249 0.372 0.123
Sn9 0.372 0.123 0.249
Sn10 0.373 0.754 0.380
Sn11 0.373 0.993 0.620
Sn12 0.380 0.373 0.754
Sn13 0.380 0.627 0.007
Sn14 0.620 0.373 0.993
Sn15 0.620 0.627 0.246
Sn16 0.627 0.007 0.380
Sn17 0.627 0.246 0.620
Sn18 0.628 0.877 0.751
Sn19 0.751 0.628 0.877
Sn20 0.751 0.874 0.123
Sn21 0.754 0.380 0.373
Sn22 0.874 0.123 0.751
Sn23 0.877 0.249 0.126
Sn24 0.877 0.751 0.628
Sn25 0.993 0.620 0.373
Pt1 0.152 0.319 0.832
Pt2 0.168 0.487 0.319
Pt3 0.168 0.848 0.681
Pt4 0.319 0.168 0.487
Pt5 0.319 0.832 0.152
Pt6 0.487 0.319 0.168
Pt7 0.513 0.681 0.832
Pt8 0.681 0.168 0.848
Pt9 0.681 0.832 0.513
Pt10 0.832 0.152 0.319
Pt11 0.832 0.513 0.681
Pt12 0.848 0.681 0.168

=====

5.
The following is a theoretical powder diffractogram of La5Nd3Bi8. It was derived from a structure optimized by DFT (PBE), using Cu Kα.

Principal peaks in the range 2θ from 10° to 90°, low angle first:
23.33°, I = 7; 27.00°, I = 100; 38.56°, I = 79; 45.55°, I = 4; 47.70°, I = 29; 55.67°, I = 14; 62.94°, I = 38; 69.76°, I = 28; 82.65°, I = 9; 88.91°, I = 20

Cell and atoms:
a = 9.340 Å, b = 9.340 Å, c = 9.340 Å
α = 60.01°, β = 60.01°, γ = 60.01°
Fractional positions:
La1 0.000 0.000 0.000
La2 0.000 0.500 0.500
La3 0.500 0.000 0.500
La4 0.500 0.500 0.000
La5 0.500 0.500 0.500
Nd1 0.000 0.000 0.500
Nd2 0.000 0.500 0.000
Nd3 0.500 0.000 0.000
Bi1 0.247 0.750 0.750
Bi2 0.249 0.249 0.249
Bi3 0.250 0.250 0.753
Bi4 0.250 0.753 0.250
Bi5 0.750 0.247 0.750
Bi6 0.750 0.750 0.247
Bi7 0.751 0.751 0.751
Bi8 0.753 0.250 0.250

=====

6.
The following is a theoretical powder diffractogram of Tb2Dy3Tm9. It was derived from a structure optimized by DFT (PBE), using Cu Kα.

Principal peaks in the range 2θ from 10° to 90°, low angle first:
31.76°, I = 64; 31.84°, I = 100; 32.20°, I = 37; 32.48°, I = 55; 33.53°, I = 45; 34.37°, I = 31; 35.02°, I = 43; 53.50°, I = 18; 56.91°, I = 13; 63.16°, I = 19

Cell and atoms:
a = 6.141 Å, b = 8.594 Å, c = 8.627 Å
α = 79.30°, β = 77.49°, γ = 86.80°
Fractional positions:
Tb1 0.047 0.031 0.298
Tb2 0.953 0.969 0.702
Dy1 0.245 0.618 0.728
Dy2 0.500 0.000 0.000
Dy3 0.755 0.382 0.272
Tm1 0.010 0.750 0.084
Tm2 0.154 0.332 0.507
Tm3 0.312 0.382 0.104
Tm4 0.408 0.686 0.306
Tm5 0.500 0.000 0.500
Tm6 0.592 0.314 0.694
Tm7 0.688 0.618 0.896
Tm8 0.846 0.668 0.493
Tm9 0.990 0.250 0.916

=====

7.
The following is a theoretical powder diffractogram of PmZn3Si. It was derived from a structure optimized by DFT (PBE), using Cu Kα.

Principal peaks in the range 2θ from 10° to 90°, low angle first:
24.59°, I = 14; 30.01°, I = 32; 31.90°, I = 23; 34.97°, I = 100; 35.81°, I = 23; 39.62°, I = 23; 42.91°, I = 18; 43.48°, I = 28; 44.80°, I = 26; 64.21°, I = 17

Cell and atoms:
a = 11.374 Å, b = 11.374 Å, c = 11.374 Å
α = 159.51°, β = 158.91°, γ = 29.57°
Fractional positions:
Pm1 0.342 0.092 0.250
Pm2 0.658 0.908 0.750
Zn1 0.044 0.794 0.250
Zn2 0.223 0.473 0.750
Zn3 0.460 0.710 0.750
Zn4 0.540 0.290 0.250
Zn5 0.777 0.527 0.250
Zn6 0.956 0.206 0.750
Si1 0.113 0.363 0.750
Si2 0.887 0.637 0.250

=====

8.
The following is a theoretical powder diffractogram of CaCdBr. It was derived from a structure optimized by DFT (PBE), using Cu Kα.

Principal peaks in the range 2θ from 10° to 90°, low angle first:
24.00°, I = 54; 26.77°, I = 29; 27.17°, I = 34; 30.87°, I = 100; 32.76°, I = 94; 35.90°, I = 36; 41.58°, I = 20; 43.07°, I = 39; 47.01°, I = 33; 57.30°, I = 32

Cell and atoms:
a = 3.866 Å, b = 3.866 Å, c = 13.126 Å
α = 90.00°, β = 90.00°, γ = 90.12°
Fractional positions:
Ca1 0.000 0.000 0.145
Ca2 0.000 0.000 0.855
Cd1 0.000 0.000 0.500
Cd2 0.500 0.500 0.000
Br1 0.500 0.500 0.255
Br2 0.500 0.500 0.745

=====

9.
The following is a theoretical powder diffractogram of Ce3PtSe2. It was derived from a structure optimized by DFT (PBE), using Cu Kα.

Principal peaks in the range 2θ from 10° to 90°, low angle first:
29.74°, I = 53; 30.19°, I = 100; 42.14°, I = 19; 42.90°, I = 77; 44.29°, I = 18; 52.43°, I = 21; 54.26°, I = 19; 70.28°, I = 18; 71.00°, I = 17; 77.57°, I = 19

Cell and atoms:
a = 7.388 Å, b = 7.388 Å, c = 7.388 Å
α = 147.86°, β = 132.02°, γ = 58.93°
Fractional positions:
Ce1 0.000 0.000 0.000
Ce2 0.343 0.343 0.000
Ce3 0.657 0.657 0.000
Pt1 0.500 0.000 0.500
Se1 0.171 0.671 0.500
Se2 0.829 0.329 0.500

=====

10.
The following is a theoretical powder diffractogram of Hf2Sc2S7. It was derived from a structure optimized by DFT (PBE), using Cu Kα.

Principal peaks in the range 2θ from 10° to 90°, low angle first:
13.13°, I = 98; 25.69°, I = 71; 26.43°, I = 31; 26.77°, I = 45; 29.92°, I = 69; 37.97°, I = 100; 43.84°, I = 60; 46.20°, I = 31; 49.95°, I = 40; 69.37°, I = 26

Cell and atoms:
a = 8.073 Å, b = 8.073 Å, c = 8.073 Å
α = 153.84°, β = 66.67°, γ = 119.90°
Fractional positions:
Hf1 0.243 0.000 0.243
Hf2 0.757 0.000 0.757
Sc1 0.297 0.797 0.500
Sc2 0.771 0.771 0.000
S1 0.014 0.697 0.317
S2 0.075 0.075 0.000
S3 0.378 0.488 0.890
S4 0.380 0.697 0.683
S5 0.598 0.488 0.110
S6 0.658 0.303 0.355
S7 0.947 0.303 0.645

=====

11.
The following is a theoretical powder diffractogram of CaPrY2As4. It was derived from a structure optimized by DFT (PBE), using Cu Kα.

Principal peaks in the range 2θ from 10° to 90°, low angle first:
30.05°, I = 100; 42.89°, I = 37; 43.14°, I = 37; 53.05°, I = 6; 53.47°, I = 19; 62.46°, I = 12; 70.68°, I = 16; 71.01°, I = 11; 78.91°, I = 8; 79.02°, I = 8

Cell and atoms:
a = 7.258 Å, b = 4.197 Å, c = 7.317 Å
α = 90.00°, β = 109.30°, γ = 90.00°
Fractional positions:
Ca1 0.000 0.000 0.000
Pr1 0.500 0.500 0.000
Y1 0.000 0.500 0.500
Y2 0.500 0.000 0.500
As1 0.246 0.000 0.739
As2 0.254 0.500 0.261
As3 0.746 0.500 0.739
As4 0.754 0.000 0.261

=====

12.
The following is a theoretical powder diffractogram of Ba6CuIr. It was derived from a structure optimized by DFT (PBE), using Cu Kα.

Principal peaks in the range 2θ from 10° to 90°, low angle first:
15.15°, I = 31; 23.64°, I = 13; 25.48°, I = 100; 32.89°, I = 49; 39.55°, I = 35; 42.71°, I = 26; 47.65°, I = 20; 52.35°, I = 12; 63.58°, I = 14; 64.19°, I = 18

Cell and atoms:
a = 8.798 Å, b = 8.798 Å, c = 8.798 Å
α = 53.31°, β = 53.31°, γ = 53.31°
Fractional positions:
Ba1 0.085 0.395 0.759
Ba2 0.241 0.915 0.605
Ba3 0.395 0.759 0.085
Ba4 0.605 0.241 0.915
Ba5 0.759 0.085 0.395
Ba6 0.915 0.605 0.241
Cu1 0.500 0.500 0.500
Ir1 0.000 0.000 0.000